Record 1
Structure and simulated XRD peak list of TlTe3Pb2 (a cell relaxed with GGA-PBE; Cu Kα (λ = 1.5418 Å)).
Lines closer than 0.1° are merged.

Atomic structure:
abc: 8.0807 8.0807 8.0807
angles: 146.64 133.28 58.62
Sites, in units of the cell vectors:
Tl1 0.0000 0.0000 0.0000
Te1 0.1699 0.6699 0.5000
Te2 0.5000 0.0000 0.5000
Te3 0.8301 0.3301 0.5000
Pb1 0.3305 0.3305 0.0000
Pb2 0.6695 0.6695 0.0000

Top 6 peaks for 2θ from 5° to 70°, low angle first:
27.01 deg, 3.301 Å, intensity 100
27.84 deg, 3.204 Å, intensity 46
38.32 deg, 2.349 Å, intensity 20
39.18 deg, 2.299 Å, intensity 75
48.03 deg, 1.894 Å, intensity 21
48.45 deg, 1.879 Å, intensity 21

***

Record 2
Structure and simulated XRD peak list of Li2Sb (a cell relaxed with GGA-PBE; Cu Kα (λ = 1.5418 Å)).
Lines closer than 0.1° are merged.

Atomic structure:
abc: 7.9467 7.9467 4.7465
angles: 90.00 90.00 157.07
Sites, in units of the cell vectors:
Li1 0.0539 0.9461 0.7500
Li2 0.2768 0.7232 0.2500
Li3 0.7232 0.2768 0.7500
Li4 0.9461 0.0539 0.2500
Sb1 0.3788 0.6212 0.7500
Sb2 0.6212 0.3788 0.2500

Top 6 peaks for 2θ from 5° to 70°, low angle first:
21.93 deg, 4.053 Å, intensity 100
22.84 deg, 3.894 Å, intensity 45
28.84 deg, 3.096 Å, intensity 26
34.59 deg, 2.593 Å, intensity 30
38.37 deg, 2.346 Å, intensity 35
39.57 deg, 2.278 Å, intensity 26

***

Record 3
Structure and simulated XRD peak list of MgCu2S2O8 (a cell relaxed with GGA-PBE; Cu Kα (λ = 1.5418 Å)).
Lines closer than 0.1° are merged.

Atomic structure:
abc: 5.9677 8.3893 8.9469
angles: 90.00 131.22 90.00
Sites, in units of the cell vectors:
Mg1 0.0000 0.0000 0.0000
Mg2 0.0000 0.5000 0.5000
Cu1 0.4348 0.2068 0.5858
Cu2 0.4348 0.2932 0.0858
Cu3 0.5652 0.7068 0.9142
Cu4 0.5652 0.7932 0.4142
S1 0.0036 0.6281 0.8345
S2 0.0036 0.8719 0.3345
S3 0.9964 0.1281 0.6655
S4 0.9964 0.3719 0.1655
O1 0.1448 0.2413 0.6133
O2 0.1448 0.2587 0.1133
O3 0.2134 0.1166 0.8949
O4 0.2134 0.3834 0.3949
O5 0.2479 0.7467 0.4004
O6 0.2479 0.7533 0.9004
O7 0.3926 0.5313 0.7701
O8 0.3926 0.9687 0.2701
O9 0.6074 0.0313 0.7299
O10 0.6074 0.4687 0.2299
O11 0.7521 0.2467 0.0996
O12 0.7521 0.2533 0.5996
O13 0.7866 0.6166 0.6051
O14 0.7866 0.8834 0.1051
O15 0.8552 0.7413 0.8867
O16 0.8552 0.7587 0.3867

Top 6 peaks for 2θ from 5° to 70°, low angle first:
21.18 deg, 4.195 Å, intensity 41
22.65 deg, 3.925 Å, intensity 24
25.01 deg, 3.560 Å, intensity 58
28.58 deg, 3.123 Å, intensity 100
31.83 deg, 2.811 Å, intensity 37
34.72 deg, 2.584 Å, intensity 43

***

Record 4
Structure and simulated XRD peak list of ZrRh4 (a cell relaxed with GGA-PBE; Cu Kα (λ = 1.5418 Å)).
Lines closer than 0.1° are merged.

Atomic structure:
abc: 4.8314 4.8314 4.8314
angles: 99.83 99.83 131.19
Sites, in units of the cell vectors:
Zr1 0.0000 0.0000 0.0000
Rh1 0.1928 0.3999 0.5927
Rh2 0.3999 0.8072 0.2070
Rh3 0.6001 0.1928 0.7930
Rh4 0.8072 0.6001 0.4073

Top 6 peaks for 2θ from 5° to 70°, low angle first:
20.18 deg, 4.400 Å, intensity 1
39.47 deg, 2.283 Å, intensity 100
45.44 deg, 1.996 Å, intensity 17
46.13 deg, 1.968 Å, intensity 32
66.75 deg, 1.401 Å, intensity 20
67.30 deg, 1.391 Å, intensity 10

***

Record 5
Structure and simulated XRD peak list of Nb4Ge (a cell relaxed with GGA-PBE; Cu Kα (λ = 1.5418 Å)).
Lines closer than 0.1° are merged.

Atomic structure:
abc: 6.3922 6.3922 6.3922
angles: 104.21 104.21 120.60
Sites, in units of the cell vectors:
Nb1 0.2297 0.2898 0.5602
Nb2 0.2297 0.6695 0.9398
Nb3 0.2898 0.2297 0.0602
Nb4 0.3305 0.7703 0.5602
Nb5 0.6695 0.2297 0.4398
Nb6 0.7101 0.7703 0.9398
Nb7 0.7703 0.3305 0.0602
Nb8 0.7703 0.7101 0.4398
Ge1 0.1250 0.8750 0.2500
Ge2 0.8750 0.1250 0.7500

Top 6 peaks for 2θ from 5° to 70°, low angle first:
22.65 deg, 3.926 Å, intensity 28
32.24 deg, 2.776 Å, intensity 28
36.45 deg, 2.465 Å, intensity 100
37.17 deg, 2.419 Å, intensity 58
43.97 deg, 2.059 Å, intensity 49
60.76 deg, 1.524 Å, intensity 24

***

Record 6
Structure and simulated XRD peak list of Pm2Er2Tl3 (a cell relaxed with GGA-PBE; Cu Kα (λ = 1.5418 Å)).
Lines closer than 0.1° are merged.

Atomic structure:
abc: 16.2999 16.2999 3.5957
angles: 90.00 90.00 167.57
Sites, in units of the cell vectors:
Pm1 0.0697 0.9303 0.0000
Pm2 0.9303 0.0697 0.0000
Er1 0.2028 0.7972 0.0000
Er2 0.7972 0.2028 0.0000
Tl1 0.3607 0.6393 0.5000
Tl2 0.5000 0.5000 0.5000
Tl3 0.6393 0.3607 0.5000

Top 6 peaks for 2θ from 5° to 70°, low angle first:
29.85 deg, 2.993 Å, intensity 30
31.89 deg, 2.806 Å, intensity 100
33.32 deg, 2.689 Å, intensity 66
35.76 deg, 2.511 Å, intensity 71
56.09 deg, 1.640 Å, intensity 38
61.23 deg, 1.514 Å, intensity 32

***

Record 7
Structure and simulated XRD peak list of Nd3SmTm2 (a cell relaxed with GGA-PBE; Cu Kα (λ = 1.5418 Å)).
Lines closer than 0.1° are merged.

Atomic structure:
abc: 9.6715 9.6715 6.3030
angles: 102.51 102.51 44.17
Sites, in units of the cell vectors:
Nd1 0.0428 0.2932 0.0283
Nd2 0.1294 0.8706 0.7500
Nd3 0.2932 0.0428 0.5283
Nd4 0.7068 0.9572 0.4717
Nd5 0.8706 0.1294 0.2500
Nd6 0.9572 0.7068 0.9717
Sm1 0.3773 0.6227 0.2500
Sm2 0.6227 0.3773 0.7500
Tm1 0.2092 0.4566 0.4719
Tm2 0.4566 0.2092 0.9719
Tm3 0.5434 0.7908 0.0281
Tm4 0.7908 0.5434 0.5281

Top 6 peaks for 2θ from 5° to 70°, low angle first:
28.54 deg, 3.128 Å, intensity 36
30.78 deg, 2.904 Å, intensity 51
31.53 deg, 2.838 Å, intensity 100
33.20 deg, 2.698 Å, intensity 90
50.15 deg, 1.819 Å, intensity 39
60.01 deg, 1.542 Å, intensity 46

***

Record 8
Structure and simulated XRD peak list of Ac5Ga2RhN (a cell relaxed with GGA-PBE; Cu Kα (λ = 1.5418 Å)).
Lines closer than 0.1° are merged.

Atomic structure:
abc: 9.8552 9.8552 14.1926
angles: 90.00 90.00 155.05
Sites, in units of the cell vectors:
Ac1 0.0096 0.9904 0.5000
Ac2 0.1544 0.8456 0.7223
Ac3 0.1741 0.8259 0.1006
Ac4 0.2145 0.7855 0.3926
Ac5 0.4646 0.5354 0.7377
Ac6 0.5354 0.4646 0.2377
Ac7 0.7855 0.2145 0.8926
Ac8 0.8259 0.1741 0.6006
Ac9 0.8456 0.1544 0.2223
Ac10 0.9904 0.0096 0.0000
Ga1 0.3623 0.6377 0.0431
Ga2 0.3897 0.6103 0.4004
Ga3 0.6103 0.3897 0.9004
Ga4 0.6377 0.3623 0.5431
Rh1 0.3027 0.6973 0.7476
Rh2 0.6973 0.3027 0.2476
N1 0.0458 0.9542 0.1487
N2 0.9542 0.0458 0.6487

Top 6 peaks for 2θ from 5° to 70°, low angle first:
24.82 deg, 3.587 Å, intensity 20
26.42 deg, 3.373 Å, intensity 24
28.12 deg, 3.173 Å, intensity 30
28.57 deg, 3.124 Å, intensity 100
33.84 deg, 2.649 Å, intensity 22
42.47 deg, 2.128 Å, intensity 24

***

Which formula does entry 8 have?
Ac5Ga2RhN